[1]
Simulated powder diffractogram
Compound: Pr4CSe3
Radiation: a wavelength of 1.5418 Å
Structure: DFT lattice parameters and positions (GGA-PBE)
No peak broadening, texture or thermal motion is included.

Largest 10 diffraction maxima, in order of falling intensity, 2θ = 15–90°:
2θ (°)  I_rel
30.18  100
30.39  52
43.90  35
42.81  33
26.04  19
43.40  17
42.99  16
53.56  15
54.82  12
26.62  10

Crystal structure
Lattice parameters (Å, degrees): 7.329 8.415 7.099 90.00 109.35 90.00
Sites, in units of the cell vectors:
Pr  0.214  0.107  0.000
Pr  0.214  0.893  0.500
Pr  0.228  0.343  0.473
Pr  0.228  0.657  0.973
Pr  0.772  0.343  0.027
Pr  0.772  0.657  0.527
Pr  0.786  0.107  0.500
Pr  0.786  0.893  0.000
C  0.000  0.128  0.250
C  0.000  0.872  0.750
Se  0.000  0.379  0.750
Se  0.000  0.621  0.250
Se  0.500  0.123  0.750
Se  0.500  0.376  0.250
Se  0.500  0.624  0.750
Se  0.500  0.877  0.250

=====

[2]
Simulated powder diffractogram
Compound: Pr8CSe6
Radiation: a wavelength of 1.5418 Å
Structure: DFT lattice parameters and positions (GGA-PBE)
No peak broadening, texture or thermal motion is included.

Largest 10 diffraction maxima, in order of falling intensity, 2θ = 15–90°:
2θ (°)  I_rel
34.39  100
35.88  44
35.25  27
55.39  25
29.38  22
24.94  21
30.97  21
54.49  16
56.94  13
31.68  12

Crystal structure
Lattice parameters (Å, degrees): 8.821 8.821 6.080 90.00 90.00 120.00
Sites, in units of the cell vectors:
Pr  0.000  0.246  0.245
Pr  0.000  0.754  0.755
Pr  0.246  0.000  0.245
Pr  0.246  0.246  0.755
Pr  0.333  0.667  0.000
Pr  0.667  0.333  0.000
Pr  0.754  0.000  0.755
Pr  0.754  0.754  0.245
C  0.000  0.000  0.000
Se  0.000  0.389  0.756
Se  0.000  0.611  0.244
Se  0.389  0.000  0.756
Se  0.389  0.389  0.244
Se  0.611  0.000  0.244
Se  0.611  0.611  0.756

=====

[3]
Simulated powder diffractogram
Compound: Pr7Sn4C
Radiation: a wavelength of 1.5418 Å
Structure: DFT lattice parameters and positions (GGA-PBE)
No peak broadening, texture or thermal motion is included.

Largest 10 diffraction maxima, in order of falling intensity, 2θ = 15–90°:
2θ (°)  I_rel
31.92  100
33.39  77
33.78  46
32.75  37
23.39  35
47.76  26
59.25  18
45.95  17
58.23  17
22.51  17

Crystal structure
Lattice parameters (Å, degrees): 8.629 8.629 11.414 124.08 124.08 35.82
Sites, in units of the cell vectors:
Pr  0.000  0.000  0.000
Pr  0.139  0.139  0.541
Pr  0.285  0.285  0.134
Pr  0.434  0.434  0.750
Pr  0.566  0.566  0.250
Pr  0.715  0.715  0.866
Pr  0.861  0.861  0.459
Sn  0.080  0.080  0.777
Sn  0.223  0.223  0.344
Sn  0.777  0.777  0.656
Sn  0.920  0.920  0.223
C  0.500  0.500  0.000